No. 1
# Cs2NaPbF6
Calculated powder diffraction line list, copper Kα. Input: a DFT-relaxed cell (PBE, the Materials Project).

Principal peaks in the range 2θ = 10–80°, in order of rising 2θ:
| two_theta | I/Imax |
| --- | --- |
| 16.49 | 35 |
| 27.08 | 100 |
| 31.87 | 21 |
| 38.68 | 36 |
| 47.85 | 43 |
| 55.85 | 23 |
| 63.15 | 19 |
| 76.56 | 23 |

Structural model:
```
data_Cs2NaPbF6
_symmetry_space_group_name_H-M 'P 1'
_symmetry_Int_Tables_number 1
_cell_length_a 6.5848
_cell_length_b 6.5848
_cell_length_c 6.5848
_cell_angle_alpha 60.00
_cell_angle_beta 60.00
_cell_angle_gamma 60.00
loop_
_symmetry_equiv_pos_as_xyz
'x,y,z'
loop_
_atom_site_label
_atom_site_fract_x
_atom_site_fract_y
_atom_site_fract_z
Cs1 0.2500 0.2500 0.2500
Cs2 0.7500 0.7500 0.7500
Na1 0.0000 0.0000 0.0000
Pb1 0.5000 0.5000 0.5000
F1 0.2549 0.2549 0.7451
F2 0.2549 0.7451 0.2549
F3 0.2549 0.7451 0.7451
F4 0.7451 0.2549 0.2549
F5 0.7451 0.2549 0.7451
F6 0.7451 0.7451 0.2549
```



No. 2
# LuZnRh
Calculated powder diffraction line list, copper Kα. Input: a DFT-relaxed cell (PBE, the Materials Project).

Principal peaks in the range 2θ = 10–80°, in order of rising 2θ:
| two_theta | I/Imax |
| --- | --- |
| 34.08 | 64 |
| 34.31 | 29 |
| 35.95 | 30 |
| 36.12 | 100 |
| 40.39 | 25 |
| 44.95 | 32 |
| 65.99 | 27 |
| 77.09 | 19 |

Structural model:
```
data_LuZnRh
_symmetry_space_group_name_H-M 'P 1'
_symmetry_Int_Tables_number 1
_cell_length_a 6.8697
_cell_length_b 4.0334
_cell_length_c 8.0452
_cell_angle_alpha 90.00
_cell_angle_beta 90.00
_cell_angle_gamma 90.00
loop_
_symmetry_equiv_pos_as_xyz
'x,y,z'
loop_
_atom_site_label
_atom_site_fract_x
_atom_site_fract_y
_atom_site_fract_z
Lu1 0.0272 0.2500 0.1814
Lu2 0.4728 0.7500 0.6814
Lu3 0.5272 0.2500 0.3186
Lu4 0.9728 0.7500 0.8186
Zn1 0.1422 0.2500 0.5642
Zn2 0.3578 0.7500 0.0642
Zn3 0.6422 0.2500 0.9358
Zn4 0.8578 0.7500 0.4358
Rh1 0.2391 0.7500 0.3753
Rh2 0.2609 0.2500 0.8753
Rh3 0.7391 0.7500 0.1247
Rh4 0.7609 0.2500 0.6247
```



What did the second record say?
# LuZnRh
Calculated powder diffraction line list, copper Kα. Input: a DFT-relaxed cell (PBE, the Materials Project).

Principal peaks in the range 2θ = 10–80°, in order of rising 2θ:
| two_theta | I/Imax |
| --- | --- |
| 34.08 | 64 |
| 34.31 | 29 |
| 35.95 | 30 |
| 36.12 | 100 |
| 40.39 | 25 |
| 44.95 | 32 |
| 65.99 | 27 |
| 77.09 | 19 |

Structural model:
```
data_LuZnRh
_symmetry_space_group_name_H-M 'P 1'
_symmetry_Int_Tables_number 1
_cell_length_a 6.8697
_cell_length_b 4.0334
_cell_length_c 8.0452
_cell_angle_alpha 90.00
_cell_angle_beta 90.00
_cell_angle_gamma 90.00
loop_
_symmetry_equiv_pos_as_xyz
'x,y,z'
loop_
_atom_site_label
_atom_site_fract_x
_atom_site_fract_y
_atom_site_fract_z
Lu1 0.0272 0.2500 0.1814
Lu2 0.4728 0.7500 0.6814
Lu3 0.5272 0.2500 0.3186
Lu4 0.9728 0.7500 0.8186
Zn1 0.1422 0.2500 0.5642
Zn2 0.3578 0.7500 0.0642
Zn3 0.6422 0.2500 0.9358
Zn4 0.8578 0.7500 0.4358
Rh1 0.2391 0.7500 0.3753
Rh2 0.2609 0.2500 0.8753
Rh3 0.7391 0.7500 0.1247
Rh4 0.7609 0.2500 0.6247
```